This entry pairs a crystal structure of Li3MnB5O10 with its simulated powder X-ray diffraction pattern. Radiation: Cu Kα. Structure: DFT lattice parameters and positions (PBE+U).

Most intense lines, 2θ from 10° to 90°, low angle first:
Position (°2θ)	intensity
15.5	94
17.2	40
20.8	61
29.0	62
29.3	100
29.9	55
30.5	76
35.4	42

Structural model:
Lattice parameters (Å, degrees): 6.988 7.190 9.466 80.60 69.26 62.23
Fractional positions:
Li 0.026 0.181 0.467
Li 0.201 0.988 0.840
Li 0.221 0.508 0.245
Li 0.779 0.492 0.755
Li 0.799 0.012 0.160
Li 0.974 0.819 0.533
Mn 0.223 0.521 0.880
Mn 0.777 0.479 0.120
B 0.220 0.172 0.137
B 0.260 0.277 0.600
B 0.305 0.816 0.075
B 0.362 0.758 0.569
B 0.407 0.866 0.295
B 0.593 0.134 0.705
B 0.638 0.242 0.431
B 0.695 0.184 0.925
B 0.740 0.723 0.400
B 0.780 0.828 0.863
O 0.053 0.301 0.619
O 0.136 0.380 0.106
O 0.221 0.753 0.708
O 0.233 0.033 0.042
O 0.267 0.710 0.995
O 0.270 0.844 0.450
O 0.300 0.091 0.258
O 0.350 0.207 0.722
O 0.403 0.314 0.461
O 0.405 0.730 0.190
O 0.595 0.270 0.810
O 0.597 0.686 0.539
O 0.650 0.793 0.278
O 0.700 0.909 0.742
O 0.730 0.156 0.550
O 0.733 0.290 0.005
O 0.767 0.967 0.958
O 0.779 0.247 0.292
O 0.864 0.620 0.894
O 0.947 0.699 0.381